# 1
Starting from a structure optimized by DFT (GGA-PBE), the PXRD pattern of Sr9Zn3Cu2O14 was calculated for Cu Kα (λ = 1.5418 Å).
Neutral-atom scattering factors, no anomalous dispersion.

The 6 most intense peaks (2θ = 5–70°), by angle:
30.19 deg, rel. 46
31.62 deg, rel. 100
34.01 deg, rel. 100
40.43 deg, rel. 22
49.91 deg, rel. 21
52.96 deg, rel. 18

Cell and atoms:
```
data_Sr9Zn3Cu2O14
_chemical_formula_sum 'Sr18 Zn6 Cu4 O28'
_space_group_name_H-M_alt 'C 1 m 1'
_space_group_IT_number 8
_cell_length_a 22.490
_cell_length_b 3.655
_cell_length_c 11.431
_cell_angle_alpha 90.00
_cell_angle_beta 97.26
_cell_angle_gamma 90.00
loop_
_space_group_symop_operation_xyz
'x,y,z'
'x,-y,z'
'x+1/2,y+1/2,z'
'x+1/2,-y+1/2,z'
loop_
_atom_site_label
_atom_site_type_symbol
_atom_site_fract_x
_atom_site_fract_y
_atom_site_fract_z
_atom_site_occupancy
Sr1 Sr 0.000 0.000 0.000 1
Sr2 Sr 0.001 0.000 0.361 1
Sr3 Sr 0.004 0.000 0.672 1
Sr4 Sr 0.188 0.000 0.758 1
Sr5 Sr 0.193 0.000 0.070 1
Sr6 Sr 0.202 0.000 0.381 1
Sr7 Sr 0.356 0.000 0.507 1
Sr8 Sr 0.380 0.000 0.798 1
Sr9 Sr 0.388 0.000 0.152 1
Zn1 Zn 0.084 0.500 0.864 1
Zn2 Zn 0.092 0.500 0.535 1
Zn3 Zn 0.305 0.500 0.278 1
Cu1 Cu 0.085 0.500 0.197 1
Cu2 Cu 0.302 0.500 0.953 1
O1 O 0.000 0.500 0.511 1
O2 O 0.003 0.500 0.173 1
O3 O 0.101 0.000 0.931 1
O4 O 0.112 0.000 0.477 1
O5 O 0.114 0.500 0.709 1
O6 O 0.165 0.500 0.216 1
O7 O 0.222 0.500 0.924 1
O8 O 0.276 0.500 0.431 1
O9 O 0.282 0.000 0.663 1
O10 O 0.285 0.000 0.209 1
O11 O 0.384 0.500 0.978 1
O12 O 0.394 0.500 0.298 1
O13 O 0.396 0.500 0.656 1
O14 O 0.493 0.000 0.845 1
```

# 2
Starting from a structure optimized by DFT (GGA-PBE), the PXRD pattern of Ta7Cu3O19 was calculated for Cu Kα (λ = 1.5418 Å).
Neutral-atom scattering factors, no anomalous dispersion.

The 6 most intense peaks (2θ = 5–70°), by angle:
26.17 deg, rel. 75
28.74 deg, rel. 100
36.05 deg, rel. 49
50.29 deg, rel. 29
57.56 deg, rel. 28
57.65 deg, rel. 21

Cell and atoms:
```
data_Ta7Cu3O19
_chemical_formula_sum 'Ta14 Cu6 O38'
_space_group_name_H-M_alt 'P 63/m'
_space_group_IT_number 176
_space_group_name_Hall '-P 6c'
_cell_length_a 6.2854
_cell_length_b 6.2854
_cell_length_c 20.4323
_cell_angle_alpha 90.00
_cell_angle_beta 90.00
_cell_angle_gamma 120.00
loop_
_atom_site_label
_atom_site_type_symbol
_atom_site_fract_x
_atom_site_fract_y
_atom_site_fract_z
_atom_site_occupancy
Ta1 Ta 0.0000 0.0000 0.0000 1
Ta2 Ta 0.0287 0.6935 0.1567 1
Cu1 Cu 0.0000 0.5000 0.0000 1
O1 O 0.0000 0.0000 0.1620 1
O2 O 0.0276 0.7509 0.0565 1
O3 O 0.0713 0.7114 0.2500 1
O4 O 0.0861 0.6658 0.6544 1
O5 O 0.3333 0.6667 0.1384 1
```

# 3
Starting from a structure optimized by DFT (GGA-PBE), the PXRD pattern of Ta2Ti2Cu3O12 was calculated for Cu Kα (λ = 1.5418 Å).
Neutral-atom scattering factors, no anomalous dispersion.

The 6 most intense peaks (2θ = 5–70°), by angle:
16.80 deg, rel. 42
23.70 deg, rel. 38
29.07 deg, rel. 27
33.76 deg, rel. 100
48.51 deg, rel. 38
60.21 deg, rel. 36

Cell and atoms:
```
data_Ta2Ti2Cu3O12
_chemical_formula_sum 'Ta4 Ti4 Cu6 O24'
_space_group_name_H-M_alt 'C 1 2/m 1'
_space_group_IT_number 12
_cell_length_a 10.558
_cell_length_b 7.513
_cell_length_c 7.503
_cell_angle_alpha 90.00
_cell_angle_beta 134.68
_cell_angle_gamma 90.00
loop_
_space_group_symop_operation_xyz
'x,y,z'
'-x,-y,-z'
'-x,y,-z'
'x,-y,z'
'x+1/2,y+1/2,z'
'-x+1/2,-y+1/2,-z'
'-x+1/2,y+1/2,-z'
'x+1/2,-y+1/2,z'
loop_
_atom_site_label
_atom_site_type_symbol
_atom_site_fract_x
_atom_site_fract_y
_atom_site_fract_z
_atom_site_occupancy
Ta1 Ta 0.250 0.250 0.000 1
Ti1 Ti 0.250 0.250 0.500 1
Cu1 Cu 0.000 0.000 0.000 1
Cu2 Cu 0.000 0.000 0.500 1
Cu3 Cu 0.000 0.500 0.500 1
O1 O 0.000 0.189 0.182 1
O2 O 0.179 0.500 0.870 1
O3 O 0.184 0.500 0.496 1
O4 O 0.189 0.182 0.689 1
```

# 4
Starting from a structure optimized by DFT (GGA-PBE), the PXRD pattern of CuTc4O12 was calculated for Cu Kα (λ = 1.5418 Å).
Neutral-atom scattering factors, no anomalous dispersion.

The 6 most intense peaks (2θ = 5–70°), by angle:
23.81 deg, rel. 49
24.02 deg, rel. 100
34.08 deg, rel. 99
34.23 deg, rel. 37
49.19 deg, rel. 32
61.20 deg, rel. 43

Cell and atoms:
```
data_CuTc4O12
_chemical_formula_sum 'Cu2 Tc8 O24'
_space_group_name_H-M_alt 'I m m m'
_space_group_IT_number 71
_space_group_name_Hall '-I 2 2'
_cell_length_a 7.409
_cell_length_b 7.410
_cell_length_c 7.473
_cell_angle_alpha 90.00
_cell_angle_beta 90.00
_cell_angle_gamma 90.00
loop_
_atom_site_label
_atom_site_type_symbol
_atom_site_fract_x
_atom_site_fract_y
_atom_site_fract_z
_atom_site_occupancy
Cu1 Cu 0.000 0.000 0.000 1
Tc1 Tc 0.250 0.250 0.250 1
O1 O 0.000 0.254 0.302 1
O2 O 0.185 0.185 0.000 1
O3 O 0.244 0.500 0.199 1
```

# 5
Starting from a structure optimized by DFT (GGA-PBE), the PXRD pattern of Cu3TeO6 was calculated for Cu Kα (λ = 1.5418 Å).
Neutral-atom scattering factors, no anomalous dispersion.

The 6 most intense peaks (2θ = 5–70°), by angle:
31.21 deg, rel. 100
32.79 deg, rel. 65
33.99 deg, rel. 27
37.26 deg, rel. 19
39.94 deg, rel. 19
51.29 deg, rel. 25

Cell and atoms:
```
data_Cu3TeO6
_chemical_formula_sum 'Cu6 Te2 O12'
_space_group_name_H-M_alt 'P 1 21/c 1'
_space_group_IT_number 14
_cell_length_a 4.838
_cell_length_b 5.279
_cell_length_c 9.966
_cell_angle_alpha 90.00
_cell_angle_beta 115.13
_cell_angle_gamma 90.00
loop_
_space_group_symop_operation_xyz
'x,y,z'
'-x,-y,-z'
'-x,y+1/2,-z+1/2'
'x,-y+1/2,z+1/2'
loop_
_atom_site_label
_atom_site_type_symbol
_atom_site_fract_x
_atom_site_fract_y
_atom_site_fract_z
_atom_site_occupancy
Cu1 Cu 0.000 0.000 0.000 1
Cu2 Cu 0.291 0.071 0.792 1
Te1 Te 0.500 0.000 0.500 1
O1 O 0.163 0.244 0.427 1
O2 O 0.192 0.729 0.395 1
O3 O 0.487 0.601 0.190 1
```

# 6
Starting from a structure optimized by DFT (GGA-PBE), the PXRD pattern of Cu3TeO6 was calculated for Cu Kα (λ = 1.5418 Å).
Neutral-atom scattering factors, no anomalous dispersion.

The 6 most intense peaks (2θ = 5–70°), by angle:
18.34 deg, rel. 16
32.04 deg, rel. 100
37.16 deg, rel. 29
47.93 deg, rel. 8
53.57 deg, rel. 38
63.80 deg, rel. 32

Cell and atoms:
```
data_Cu3TeO6
_chemical_formula_sum 'Cu24 Te8 O48'
_space_group_name_H-M_alt 'I a -3'
_space_group_IT_number 206
_space_group_name_Hall '-I 2b 2c 3'
_cell_length_a 9.677
_cell_length_b 9.677
_cell_length_c 9.677
_cell_angle_alpha 90.00
_cell_angle_beta 90.00
_cell_angle_gamma 90.00
loop_
_atom_site_label
_atom_site_type_symbol
_atom_site_fract_x
_atom_site_fract_y
_atom_site_fract_z
_atom_site_occupancy
Cu1 Cu 0.000 0.250 0.280 1
Te1 Te 0.000 0.000 0.000 1
O1 O 0.078 0.117 0.650 1
```

# 7
Starting from a structure optimized by DFT (GGA-PBE), the PXRD pattern of Cu6TeO8 was calculated for Cu Kα (λ = 1.5418 Å).
Neutral-atom scattering factors, no anomalous dispersion.

The 6 most intense peaks (2θ = 5–70°), by angle:
15.95 deg, rel. 33
27.80 deg, rel. 19
36.14 deg, rel. 100
39.73 deg, rel. 59
60.02 deg, rel. 26
62.53 deg, rel. 31

Cell and atoms:
```
data_Cu6TeO8
_chemical_formula_sum 'Cu6 Te1 O8'
_space_group_name_H-M_alt 'P m -3'
_space_group_IT_number 200
_space_group_name_Hall '-P 2 2 3'
_cell_length_a 5.558
_cell_length_b 5.558
_cell_length_c 5.558
_cell_angle_alpha 90.00
_cell_angle_beta 90.00
_cell_angle_gamma 90.00
loop_
_atom_site_label
_atom_site_type_symbol
_atom_site_fract_x
_atom_site_fract_y
_atom_site_fract_z
_atom_site_occupancy
Cu1 Cu 0.000 0.262 0.500 1
Te1 Te 0.000 0.000 0.000 1
O1 O 0.240 0.240 0.240 1
```

# 8
Starting from a structure optimized by DFT (GGA-PBE), the PXRD pattern of CuTeO3 was calculated for Cu Kα (λ = 1.5418 Å).
Neutral-atom scattering factors, no anomalous dispersion.

The 6 most intense peaks (2θ = 5–70°), by angle:
29.31 deg, rel. 34
30.53 deg, rel. 39
32.70 deg, rel. 100
42.84 deg, rel. 22
54.17 deg, rel. 30
55.66 deg, rel. 28

Cell and atoms:
```
data_CuTeO3
_chemical_formula_sum 'Cu4 Te4 O12'
_space_group_name_H-M_alt 'P n m a'
_space_group_IT_number 62
_cell_length_a 6.094
_cell_length_b 7.196
_cell_length_c 5.855
_cell_angle_alpha 90.00
_cell_angle_beta 90.00
_cell_angle_gamma 90.00
loop_
_space_group_symop_operation_xyz
'x,y,z'
'-x,-y,-z'
'-x+1/2,-y,z+1/2'
'x+1/2,y,-z+1/2'
'x+1/2,-y+1/2,-z+1/2'
'-x+1/2,y+1/2,z+1/2'
'-x,y+1/2,-z'
'x,-y+1/2,z'
loop_
_atom_site_label
_atom_site_type_symbol
_atom_site_fract_x
_atom_site_fract_y
_atom_site_fract_z
_atom_site_occupancy
Cu1 Cu 0.000 0.000 0.000 1
Te1 Te 0.006 0.250 0.491 1
O1 O 0.050 0.750 0.838 1
O2 O 0.200 0.557 0.416 1
```

# 9
Starting from a structure optimized by DFT (GGA-PBE), the PXRD pattern of CuTe2O6 was calculated for Cu Kα (λ = 1.5418 Å).
Neutral-atom scattering factors, no anomalous dispersion.

The 6 most intense peaks (2θ = 5–70°), by angle:
27.40 deg, rel. 100
34.61 deg, rel. 39
44.70 deg, rel. 23
52.40 deg, rel. 43
57.74 deg, rel. 20
62.03 deg, rel. 14

Cell and atoms:
```
data_CuTe2O6
_chemical_formula_sum 'Cu3 Te6 O18'
_space_group_name_H-M_alt 'P 3 2 1'
_space_group_IT_number 150
_cell_length_a 8.9774
_cell_length_b 8.9774
_cell_length_c 4.7262
_cell_angle_alpha 90.00
_cell_angle_beta 90.00
_cell_angle_gamma 120.00
loop_
_space_group_symop_operation_xyz
'x,y,z'
'-y,x-y,z'
'-x+y,-x,z'
'y,x,-z'
'x-y,-y,-z'
'-x,-x+y,-z'
loop_
_atom_site_label
_atom_site_type_symbol
_atom_site_fract_x
_atom_site_fract_y
_atom_site_fract_z
_atom_site_occupancy
Cu1 Cu 0.0000 0.0000 0.0000 1
Cu2 Cu 0.3333 0.6667 0.5053 1
Te1 Te 0.0000 0.3131 0.5000 1
Te2 Te 0.0000 0.6467 0.0000 1
O1 O 0.1091 0.2221 0.7588 1
O2 O 0.1092 0.5333 0.7312 1
O3 O 0.2181 0.4411 0.2776 1
```